# LiDyP4O12
Calculated X-ray powder pattern, Cu Kα (weighted mean of Kα1 and Kα2). Input: a structure optimized by DFT (PBE).

The 10 most intense peaks (10 to 80 degrees two-theta), by intensity:
20.88°, I = 100; 23.29°, I = 69; 15.82°, I = 50; 13.56°, I = 45; 28.15°, I = 32; 33.32°, I = 29; 31.74°, I = 26; 31.23°, I = 24; 33.45°, I = 21; 23.81°, I = 21

Structural model:
abc: 8.761 8.761 9.427
angles: 122.36 122.36 46.84
Sites, in units of the cell vectors:
Li 0.204 0.796 0.750
Li 0.796 0.204 0.250
Dy 0.296 0.704 0.250
Dy 0.704 0.296 0.750
P 0.085 0.190 0.160
P 0.190 0.085 0.660
P 0.204 0.501 0.403
P 0.499 0.796 0.097
P 0.501 0.204 0.903
P 0.796 0.499 0.597
P 0.810 0.915 0.340
P 0.915 0.810 0.840
O 0.035 0.283 0.577
O 0.061 0.063 0.698
O 0.063 0.061 0.198
O 0.107 0.662 0.953
O 0.170 0.318 0.349
O 0.252 0.482 0.262
O 0.283 0.035 0.077
O 0.318 0.170 0.849
O 0.338 0.893 0.547
O 0.349 0.516 0.585
O 0.482 0.252 0.762
O 0.484 0.651 0.915
O 0.516 0.349 0.085
O 0.518 0.748 0.238
O 0.651 0.484 0.415
O 0.662 0.107 0.453
O 0.682 0.830 0.151
O 0.717 0.965 0.923
O 0.748 0.518 0.738
O 0.830 0.682 0.651
O 0.893 0.338 0.047
O 0.937 0.939 0.802
O 0.939 0.937 0.302
O 0.965 0.717 0.423

=====

# LiDyP4O12
Calculated X-ray powder pattern, Cu Kα (weighted mean of Kα1 and Kα2). Input: a structure optimized by DFT (PBE).

The 10 most intense peaks (10 to 80 degrees two-theta), by intensity:
20.87°, I = 100; 23.25°, I = 69; 15.82°, I = 50; 13.54°, I = 46; 28.17°, I = 31; 33.28°, I = 29; 31.71°, I = 26; 31.19°, I = 24; 33.40°, I = 21; 23.79°, I = 21

Structural model:
abc: 8.770 8.770 9.442
angles: 122.39 122.39 46.75
Sites, in units of the cell vectors:
Li 0.205 0.795 0.750
Li 0.795 0.205 0.250
Dy 0.295 0.705 0.250
Dy 0.705 0.295 0.750
P 0.084 0.190 0.160
P 0.190 0.084 0.660
P 0.204 0.501 0.403
P 0.499 0.796 0.097
P 0.501 0.204 0.903
P 0.796 0.499 0.597
P 0.810 0.916 0.340
P 0.916 0.810 0.840
O 0.034 0.282 0.577
O 0.062 0.063 0.699
O 0.063 0.062 0.199
O 0.108 0.661 0.953
O 0.170 0.319 0.349
O 0.254 0.482 0.264
O 0.282 0.034 0.077
O 0.319 0.170 0.849
O 0.339 0.892 0.547
O 0.349 0.515 0.586
O 0.482 0.254 0.764
O 0.485 0.651 0.914
O 0.515 0.349 0.086
O 0.518 0.746 0.236
O 0.651 0.485 0.414
O 0.661 0.108 0.453
O 0.681 0.830 0.151
O 0.718 0.966 0.923
O 0.746 0.518 0.736
O 0.830 0.681 0.651
O 0.892 0.339 0.047
O 0.937 0.938 0.801
O 0.938 0.937 0.301
O 0.966 0.718 0.423

=====

# LiDySeO
Calculated X-ray powder pattern, Cu Kα (weighted mean of Kα1 and Kα2). Input: a structure optimized by DFT (PBE).

The 10 most intense peaks (10 to 80 degrees two-theta), by intensity:
26.81°, I = 100; 26.24°, I = 64; 31.81°, I = 63; 32.59°, I = 45; 46.52°, I = 44; 33.69°, I = 37; 33.41°, I = 27; 42.70°, I = 26; 36.31°, I = 22; 23.33°, I = 19

Structural model:
abc: 5.523 5.523 10.191
angles: 90.00 103.79 90.00
Sites, in units of the cell vectors:
Li 0.026 0.000 0.087
Li 0.430 0.939 0.915
Li 0.570 0.439 0.085
Li 0.974 0.500 0.913
Dy 0.051 0.268 0.611
Dy 0.449 0.268 0.389
Dy 0.551 0.768 0.611
Dy 0.949 0.768 0.389
Se 0.063 0.476 0.169
Se 0.439 0.474 0.831
Se 0.561 0.974 0.169
Se 0.937 0.976 0.831
O 0.250 0.020 0.500
O 0.250 0.522 0.500
O 0.750 0.022 0.500
O 0.750 0.520 0.500

=====

# Li2TbDySe2O2
Calculated X-ray powder pattern, Cu Kα (weighted mean of Kα1 and Kα2). Input: a structure optimized by DFT (PBE).

The 10 most intense peaks (10 to 80 degrees two-theta), by intensity:
30.48°, I = 100; 32.42°, I = 41; 56.63°, I = 35; 46.51°, I = 21; 38.13°, I = 20; 52.89°, I = 16; 61.65°, I = 10; 62.11°, I = 9; 76.21°, I = 7; 77.26°, I = 7

Structural model:
abc: 3.905 3.905 8.887
angles: 90.00 90.00 90.00
Sites, in units of the cell vectors:
Li 0.000 0.500 0.000
Li 0.500 0.000 0.000
Tb 0.000 0.000 0.625
Dy 0.500 0.500 0.375
Se 0.000 0.000 0.180
Se 0.500 0.500 0.819
O 0.000 0.500 0.499
O 0.500 0.000 0.499

=====

# LiDy3S4
Calculated X-ray powder pattern, Cu Kα (weighted mean of Kα1 and Kα2). Input: a structure optimized by DFT (PBE).

The 10 most intense peaks (10 to 80 degrees two-theta), by intensity:
32.71°, I = 100; 46.93°, I = 71; 28.23°, I = 62; 55.67°, I = 31; 14.00°, I = 30; 58.38°, I = 25; 78.03°, I = 21; 27.01°, I = 21; 75.72°, I = 13; 16.20°, I = 11

Structural model:
abc: 7.749 10.944 3.871
angles: 90.00 90.00 90.00
Sites, in units of the cell vectors:
Li 0.000 0.000 0.000
Li 0.500 0.500 0.000
Dy 0.000 0.500 0.000
Dy 0.250 0.250 0.500
Dy 0.250 0.750 0.500
Dy 0.500 0.000 0.000
Dy 0.750 0.250 0.500
Dy 0.750 0.750 0.500
S 0.000 0.246 0.000
S 0.000 0.754 0.000
S 0.245 0.000 0.500
S 0.255 0.500 0.500
S 0.500 0.254 0.000
S 0.500 0.746 0.000
S 0.745 0.500 0.500
S 0.755 0.000 0.500

=====

# SrLiDyS3
Calculated X-ray powder pattern, Cu Kα (weighted mean of Kα1 and Kα2). Input: a structure optimized by DFT (PBE).

The 10 most intense peaks (10 to 80 degrees two-theta), by intensity:
22.04°, I = 100; 35.17°, I = 68; 45.35°, I = 45; 30.38°, I = 43; 23.27°, I = 35; 31.63°, I = 33; 42.39°, I = 33; 45.12°, I = 27; 13.59°, I = 25; 34.95°, I = 25

Structural model:
abc: 6.815 6.815 10.269
angles: 90.00 90.00 145.87
Sites, in units of the cell vectors:
Sr 0.250 0.750 0.750
Sr 0.750 0.250 0.250
Li 0.022 0.978 0.250
Li 0.978 0.022 0.750
Dy 0.500 0.500 0.000
Dy 0.500 0.500 0.500
S 0.134 0.866 0.068
S 0.134 0.866 0.432
S 0.422 0.578 0.250
S 0.578 0.422 0.750
S 0.866 0.134 0.568
S 0.866 0.134 0.932

=====

# Li3DySb2
Calculated X-ray powder pattern, Cu Kα (weighted mean of Kα1 and Kα2). Input: a structure optimized by DFT (PBE).

The 10 most intense peaks (10 to 80 degrees two-theta), by intensity:
26.01°, I = 100; 34.10°, I = 62; 39.93°, I = 42; 12.46°, I = 30; 44.74°, I = 24; 48.28°, I = 18; 53.50°, I = 17; 67.04°, I = 17; 68.80°, I = 16; 64.39°, I = 15

Structural model:
abc: 4.515 4.515 7.105
angles: 90.00 90.00 120.00
Sites, in units of the cell vectors:
Li 0.000 0.000 0.000
Li 0.333 0.667 0.148
Li 0.667 0.333 0.852
Dy 0.000 0.000 0.500
Sb 0.333 0.667 0.749
Sb 0.667 0.333 0.251

=====

# Li2Dy2Si3
Calculated X-ray powder pattern, Cu Kα (weighted mean of Kα1 and Kα2). Input: a structure optimized by DFT (PBE).

The 10 most intense peaks (10 to 80 degrees two-theta), by intensity:
35.38°, I = 100; 34.63°, I = 65; 23.93°, I = 51; 21.45°, I = 47; 26.86°, I = 37; 42.48°, I = 23; 32.82°, I = 22; 53.16°, I = 19; 45.70°, I = 19; 58.13°, I = 17

Structural model:
abc: 9.228 9.228 6.640
angles: 90.00 90.00 153.33
Sites, in units of the cell vectors:
Li 0.190 0.810 0.561
Li 0.190 0.810 0.939
Li 0.810 0.190 0.061
Li 0.810 0.190 0.439
Dy 0.343 0.657 0.750
Dy 0.448 0.552 0.250
Dy 0.552 0.448 0.750
Dy 0.657 0.343 0.250
Si 0.060 0.940 0.071
Si 0.060 0.940 0.429
Si 0.279 0.721 0.250
Si 0.721 0.279 0.750
Si 0.940 0.060 0.571
Si 0.940 0.060 0.929